# Nb2ZnO6
Computed powder X-ray diffraction pattern, copper Kα. Input: the GGA-PBE geometry in the Materials Project.
Neutral-atom scattering factors, no anomalous dispersion.

Structural model:
```
Nb2ZnO6
1.0
14.412 0.000 0.000
0.000 5.851 0.000
0.000 0.000 5.091
Nb Zn O
8 4 24
Direct
0.160 0.183 0.247
0.160 0.817 0.747
0.340 0.317 0.747
0.340 0.683 0.247
0.660 0.317 0.753
0.660 0.683 0.253
0.840 0.183 0.253
0.840 0.817 0.753
0.000 0.329 0.750
0.000 0.671 0.250
0.500 0.171 0.250
0.500 0.829 0.750
0.079 0.381 0.087
0.079 0.619 0.587
0.096 0.105 0.571
0.096 0.895 0.071
0.245 0.125 0.918
0.245 0.875 0.418
0.255 0.375 0.418
0.255 0.625 0.918
0.404 0.395 0.071
0.404 0.605 0.571
0.421 0.119 0.587
0.421 0.881 0.087
0.579 0.119 0.913
0.579 0.881 0.413
0.596 0.395 0.429
0.596 0.605 0.929
0.745 0.375 0.082
0.745 0.625 0.582
0.755 0.125 0.582
0.755 0.875 0.082
0.904 0.105 0.929
0.904 0.895 0.429
0.921 0.381 0.413
0.921 0.619 0.913
```

Most intense lines, 5° ≤ 2θ ≤ 70°, sorted by position:
2θ (°), d/Å, I_rel, index
24.0, 3.713, 284, 3 1 0
29.8, 3.000, 1000, 3 1 1
30.6, 2.925, 105, 0 2 0
35.3, 2.545, 129, 0 0 2
35.4, 2.536, 140, 0 2 1
50.5, 1.807, 140, 3 3 0
52.4, 1.745, 373, 6 0 2
59.9, 1.543, 152, 3 1 3
62.9, 1.478, 115, 9 1 1
63.1, 1.473, 127, 3 3 2

---

# Cu3AsS4
Computed powder X-ray diffraction pattern, copper Kα. Input: the GGA-PBE geometry in the Materials Project.
Neutral-atom scattering factors, no anomalous dispersion.

Structural model:
```
Cu3AsS4
1.0
6.110 0.000 0.000
0.000 4.042 0.000
-0.248 0.000 6.285
Cu As S
3 1 4
Direct
0.000 0.000 0.000
0.215 0.500 0.535
0.466 0.500 0.996
0.727 0.000 0.435
0.097 0.000 0.383
0.113 0.500 0.884
0.598 0.500 0.576
0.625 0.000 0.079
```

Most intense lines, 5° ≤ 2θ ≤ 70°, sorted by position:
2θ (°), d/Å, I_rel, index
26.2, 3.399, 393, 0 1 1
26.4, 3.370, 1000, 1 1 0
28.4, 3.142, 924, 0 0 2
32.1, 2.789, 484, 2 0 -1
33.1, 2.704, 456, 2 0 1
38.8, 2.324, 327, 1 1 -2
44.9, 2.021, 478, 0 2 0
49.0, 1.860, 257, 0 1 3
51.9, 1.762, 549, 3 1 -1
53.9, 1.700, 282, 0 2 2

---

# MnAu
Computed powder X-ray diffraction pattern, copper Kα. Input: the GGA-PBE geometry in the Materials Project.
Neutral-atom scattering factors, no anomalous dispersion.

Structural model:
```
MnAu
1.0
3.226 0.000 0.000
0.000 3.226 0.000
0.000 0.000 3.226
Mn Au
1 1
Direct
0.000 0.000 0.000
0.500 0.500 0.500
```

Most intense lines, 5° ≤ 2θ ≤ 70°, sorted by position:
2θ (°), d/Å, I_rel, index
27.7, 3.226, 389, 1 0 0
39.5, 2.281, 1000, 1 1 0
48.9, 1.862, 118, 1 1 1
57.1, 1.613, 169, 2 0 0
64.6, 1.442, 161, 2 1 0

---

What did the third record say?
# MnAu
Computed powder X-ray diffraction pattern, copper Kα. Input: the GGA-PBE geometry in the Materials Project.
Neutral-atom scattering factors, no anomalous dispersion.

Structural model:
```
MnAu
1.0
3.226 0.000 0.000
0.000 3.226 0.000
0.000 0.000 3.226
Mn Au
1 1
Direct
0.000 0.000 0.000
0.500 0.500 0.500
```

Most intense lines, 5° ≤ 2θ ≤ 70°, sorted by position:
2θ (°), d/Å, I_rel, index
27.7, 3.226, 389, 1 0 0
39.5, 2.281, 1000, 1 1 0
48.9, 1.862, 118, 1 1 1
57.1, 1.613, 169, 2 0 0
64.6, 1.442, 161, 2 1 0